The following is a theoretical powder diffractogram of Na5NiCO5. It was derived from a structure optimized by DFT (GGA+U), using Cu Kα (weighted mean of Kα1 and Kα2).
No peak broadening, texture or thermal motion is included.

Cell and atoms:
abc: 4.4690 8.5126 4.8843
angles: 90.00 90.00 90.00
Space group Pmm2 (No. 25)
One atom of each set of equivalent atoms:
Na1 0.0000 0.0000 0.0000 x1
Na2 0.0000 0.2786 0.4659 x2
Na3 0.5000 0.2520 0.9745 x2
Ni1 0.0000 0.5000 0.9639 x1
C1 0.5000 0.0000 0.5400 x1
O1 0.0000 0.2889 0.9631 x2
O2 0.5000 0.0000 0.8067 x1
O3 0.5000 0.1337 0.4100 x2

Peak list (10 most intense, 2θ from 5° to 70°, in order of rising 2θ)
| (hkl) | Position (°2θ) | intensity |
| --- | --- | --- |
| 0 0 1 | 18.2 | 43 |
| 0 1 1 | 21.0 | 34 |
| 1 1 0 | 22.5 | 80 |
| 1 2 1 | 34.4 | 100 |
| 0 0 2 | 36.8 | 51 |
| 2 0 0 | 40.4 | 51 |
| 0 4 0 | 42.5 | 20 |
| 0 4 1 | 46.5 | 19 |
| 2 0 2 | 55.8 | 26 |
| 1 2 3 | 64.8 | 17 |

---

The following is a theoretical powder diffractogram of Na5Ni2P2C2O14. It was derived from a structure optimized by DFT (GGA+U), using Cu Kα (weighted mean of Kα1 and Kα2).
No peak broadening, texture or thermal motion is included.

Cell and atoms:
abc: 8.9379 6.6350 10.3980
angles: 90.00 91.19 90.00
Space group P2_1/m (No. 11)
One atom of each set of equivalent atoms:
Na1 0.0864 0.2500 0.3561 x2
Na2 0.2566 0.0062 0.1168 x4
Na3 0.2648 0.0131 0.6331 x4
Ni1 0.3489 0.7500 0.3598 x2
Ni2 0.3549 0.7500 0.8581 x2
P1 0.4170 0.2500 0.3943 x2
P2 0.4232 0.2500 0.8929 x2
C1 0.0681 0.7500 0.3959 x2
C2 0.0730 0.7500 0.8837 x2
O1 0.0693 0.2500 0.1137 x2
O2 0.0731 0.2500 0.5852 x2
O3 0.1258 0.7500 0.2830 x2
O4 0.1407 0.7500 0.7726 x2
O5 0.1611 0.7500 0.9840 x2
O6 0.1629 0.7500 0.4939 x2
O7 0.3192 0.0636 0.3572 x4
O8 0.3299 0.0617 0.8558 x4
O9 0.4235 0.7500 0.1744 x2
O10 0.4326 0.7500 0.6758 x2
O11 0.4491 0.2500 0.5430 x2
O12 0.4507 0.2500 0.0427 x2

Peak list (10 most intense, 2θ from 5° to 70°, in order of rising 2θ)
| (hkl) | Position (°2θ) | intensity |
| --- | --- | --- |
| 1 0 0 | 9.9 | 100 |
| 1 1 0 | 16.6 | 32 |
| 1 0 2 | 19.9 | 21 |
| 2 0 -2 | 26.0 | 24 |
| 0 2 0 | 26.9 | 48 |
| 1 2 -2 | 33.5 | 28 |
| 2 2 0 | 33.7 | 52 |
| 0 0 4 | 34.5 | 38 |
| 2 1 -4 | 42.1 | 27 |
| 4 2 0 | 49.2 | 19 |

---

The following is a theoretical powder diffractogram of Na5Ni2P2C2O14. It was derived from a structure optimized by DFT (GGA+U), using Cu Kα (weighted mean of Kα1 and Kα2).
No peak broadening, texture or thermal motion is included.

Cell and atoms:
abc: 5.1880 6.6684 8.8280
angles: 90.00 91.63 90.00
Space group Pm (No. 6)
One atom of each set of equivalent atoms:
Na1 0.0000 0.0000 0.0000 x1
Na2 0.4771 0.2408 0.8125 x2
Na3 0.9688 0.2630 0.3461 x2
Ni1 0.0011 0.5000 0.7346 x1
Ni2 0.4453 0.0000 0.4261 x1
P1 0.5013 0.5000 0.4994 x1
P2 0.9405 0.0000 0.6630 x1
C1 0.5114 0.0000 0.1436 x1
C2 0.9351 0.5000 0.0119 x1
O1 0.0123 0.1850 0.7631 x2
O2 0.0804 0.0000 0.5113 x1
O3 0.1610 0.5000 0.9524 x1
O4 0.2859 0.0000 0.2031 x1
O5 0.3579 0.5000 0.6517 x1
O6 0.4345 0.3123 0.4044 x2
O7 0.5366 0.0000 0.9988 x1
O8 0.6436 0.0000 0.6291 x1
O9 0.7118 0.0000 0.2360 x1
O10 0.7424 0.5000 0.9137 x1
O11 0.7988 0.5000 0.5393 x1
O12 0.9059 0.5000 0.1534 x1

Peak list (10 most intense, 2θ from 5° to 70°, in order of rising 2θ)
| (hkl) | Position (°2θ) | intensity |
| --- | --- | --- |
| 0 0 1 | 10.0 | 100 |
| 0 1 1 | 16.7 | 36 |
| 1 0 1 | 20.1 | 27 |
| 1 0 -2 | 26.1 | 24 |
| 0 2 0 | 26.7 | 52 |
| 1 2 -1 | 33.4 | 31 |
| 1 2 1 | 33.7 | 57 |
| 2 0 0 | 34.6 | 55 |
| 0 2 4 | 49.5 | 25 |
| 0 4 0 | 55.1 | 29 |

---

The following is a theoretical powder diffractogram of Na5Ni2P2C2O14. It was derived from a structure optimized by DFT (GGA+U), using Cu Kα (weighted mean of Kα1 and Kα2).
No peak broadening, texture or thermal motion is included.

Cell and atoms:
abc: 10.2507 6.6273 10.4406
angles: 90.00 119.14 90.00
Space group P2_1/m (No. 11)
One atom of each set of equivalent atoms:
Na1 0.0840 0.2500 0.1853 x2
Na2 0.2550 0.0055 0.5103 x4
Na3 0.2613 0.0138 0.9960 x4
Ni1 0.3495 0.7500 0.3148 x2
Ni2 0.3530 0.7500 0.8176 x2
P1 0.4202 0.2500 0.3176 x2
P2 0.4214 0.2500 0.8159 x2
C1 0.0693 0.7500 0.1377 x2
C2 0.0720 0.7500 0.6507 x2
O1 0.0699 0.2500 0.4225 x2
O2 0.0720 0.2500 0.9494 x2
O3 0.1282 0.7500 0.2794 x2
O4 0.1385 0.7500 0.7947 x2
O5 0.1601 0.7500 0.5945 x2
O6 0.1631 0.7500 0.0862 x2
O7 0.3212 0.0636 0.3043 x4
O8 0.3266 0.0616 0.8060 x4
O9 0.4278 0.7500 0.0390 x2
O10 0.4282 0.7500 0.5388 x2
O11 0.4508 0.2500 0.1839 x2
O12 0.4518 0.2500 0.6823 x2

Peak list (10 most intense, 2θ from 5° to 70°, in order of rising 2θ)
| (hkl) | Position (°2θ) | intensity |
| --- | --- | --- |
| 1 0 0 | 9.9 | 100 |
| 1 1 0 | 16.6 | 34 |
| 2 0 -2 | 19.9 | 21 |
| 1 0 2 | 25.9 | 27 |
| 0 2 0 | 26.9 | 49 |
| 0 2 2 | 33.4 | 29 |
| 2 2 0 | 33.7 | 53 |
| 2 0 -4 | 34.4 | 39 |
| 4 1 -2 | 37.6 | 22 |
| 4 2 0 | 49.1 | 19 |